# Zn6CdAu6
Calculated powder X-ray diffraction pattern, copper Kα. Input: a structure optimized by DFT (GGA-PBE).
No peak broadening, texture or thermal motion is included.

Largest 10 diffraction maxima, in order of falling intensity, 10 to 90 degrees two-theta:
- 39.4 deg, d 2.285, rel. 100
- 34.0 deg, d 2.638, rel. 90
- 44.3 deg, d 2.044, rel. 79
- 71.5 deg, d 1.319, rel. 55
- 35.4 deg, d 2.535, rel. 32
- 27.6 deg, d 3.232, rel. 21
- 60.8 deg, d 1.523, rel. 21
- 88.2 deg, d 1.108, rel. 18
- 64.5 deg, d 1.445, rel. 17
- 68.0 deg, d 1.378, rel. 17

Cell and atoms:
Lattice parameters (Å, degrees): 5.2756 5.2756 9.1435 90.00 90.00 120.00
Fractional positions:
Zn  0.0000  0.5000  0.2492
Zn  0.0000  0.5000  0.7508
Zn  0.5000  0.0000  0.2492
Zn  0.5000  0.0000  0.7508
Zn  0.5000  0.5000  0.2492
Zn  0.5000  0.5000  0.7508
Cd  0.0000  0.0000  0.0000
Au  0.0000  0.0000  0.3394
Au  0.0000  0.0000  0.6606
Au  0.3333  0.6667  0.0000
Au  0.3333  0.6667  0.5000
Au  0.6667  0.3333  0.0000
Au  0.6667  0.3333  0.5000


# Zn6CdAu4
Calculated powder X-ray diffraction pattern, copper Kα. Input: a structure optimized by DFT (GGA-PBE).
No peak broadening, texture or thermal motion is included.

Largest 10 diffraction maxima, in order of falling intensity, 10 to 90 degrees two-theta:
- 42.7 deg, d 2.116, rel. 100
- 35.2 deg, d 2.550, rel. 97
- 32.4 deg, d 2.767, rel. 83
- 27.1 deg, d 3.286, rel. 75
- 48.0 deg, d 1.897, rel. 57
- 47.2 deg, d 1.926, rel. 51
- 36.2 deg, d 2.484, rel. 47
- 44.8 deg, d 2.022, rel. 44
- 67.7 deg, d 1.383, rel. 40
- 25.9 deg, d 3.444, rel. 38

Cell and atoms:
Lattice parameters (Å, degrees): 7.5884 7.5884 4.0431 90.00 90.00 120.00
Fractional positions:
Zn  0.0703  0.5352  0.0000
Zn  0.1294  0.2588  0.5000
Zn  0.1294  0.8706  0.5000
Zn  0.4648  0.5352  0.0000
Zn  0.4648  0.9297  0.0000
Zn  0.7412  0.8706  0.5000
Cd  0.6667  0.3333  0.5000
Au  0.2872  0.1436  0.0000
Au  0.3333  0.6667  0.5000
Au  0.8564  0.1436  0.0000
Au  0.8564  0.7128  0.0000


# Zn2Cd5Au12
Calculated powder X-ray diffraction pattern, copper Kα. Input: a structure optimized by DFT (GGA-PBE).
No peak broadening, texture or thermal motion is included.

Largest 10 diffraction maxima, in order of falling intensity, 10 to 90 degrees two-theta:
- 37.8 deg, d 2.378, rel. 100
- 37.2 deg, d 2.414, rel. 49
- 36.8 deg, d 2.445, rel. 47
- 42.8 deg, d 2.115, rel. 32
- 70.9 deg, d 1.329, rel. 28
- 35.1 deg, d 2.554, rel. 26
- 42.3 deg, d 2.139, rel. 24
- 34.6 deg, d 2.592, rel. 20
- 54.5 deg, d 1.685, rel. 20
- 73.5 deg, d 1.288, rel. 18

Cell and atoms:
Lattice parameters (Å, degrees): 7.9768 7.9768 6.6710 90.20 90.20 58.18
Fractional positions:
Zn  0.2145  0.7855  0.0000
Zn  0.7855  0.2145  0.0000
Cd  0.1967  0.1967  0.9824
Cd  0.2586  0.2586  0.4219
Cd  0.5000  0.5000  0.5000
Cd  0.7414  0.7414  0.5781
Cd  0.8033  0.8033  0.0176
Au  0.0520  0.0520  0.2955
Au  0.0831  0.6829  0.3441
Au  0.1521  0.5294  0.7585
Au  0.3171  0.9169  0.6559
Au  0.4042  0.4042  0.1052
Au  0.4706  0.8479  0.2415
Au  0.5294  0.1521  0.7585
Au  0.5958  0.5958  0.8948
Au  0.6829  0.0831  0.3441
Au  0.8479  0.4706  0.2415
Au  0.9169  0.3171  0.6559
Au  0.9480  0.9480  0.7045


# ZnCd4Au
Calculated powder X-ray diffraction pattern, copper Kα. Input: a structure optimized by DFT (GGA-PBE).
No peak broadening, texture or thermal motion is included.

Largest 10 diffraction maxima, in order of falling intensity, 10 to 90 degrees two-theta:
- 33.5 deg, d 2.675, rel. 100
- 40.8 deg, d 2.209, rel. 57
- 39.3 deg, d 2.293, rel. 42
- 43.5 deg, d 2.080, rel. 29
- 64.3 deg, d 1.448, rel. 21
- 67.4 deg, d 1.389, rel. 21
- 21.4 deg, d 4.159, rel. 17
- 61.4 deg, d 1.511, rel. 17
- 36.4 deg, d 2.470, rel. 14
- 75.6 deg, d 1.258, rel. 13

Cell and atoms:
Lattice parameters (Å, degrees): 5.5772 5.5772 5.5772 102.44 102.44 124.70
Fractional positions:
Zn  0.0000  0.0000  0.0000
Cd  0.0998  0.5998  0.1996
Cd  0.4002  0.9002  0.8004
Cd  0.5998  0.4002  0.5000
Cd  0.9002  0.0998  0.5000
Au  0.5000  0.5000  0.0000


# Zn4Cd2Au9
Calculated powder X-ray diffraction pattern, copper Kα. Input: a structure optimized by DFT (GGA-PBE).
No peak broadening, texture or thermal motion is included.

Largest 10 diffraction maxima, in order of falling intensity, 10 to 90 degrees two-theta:
- 40.5 deg, d 2.226, rel. 100
- 36.0 deg, d 2.495, rel. 32
- 73.7 deg, d 1.285, rel. 26
- 58.6 deg, d 1.574, rel. 14
- 23.7 deg, d 3.753, rel. 11
- 77.1 deg, d 1.237, rel. 10
- 55.3 deg, d 1.661, rel. 9
- 70.8 deg, d 1.331, rel. 9
- 25.5 deg, d 3.488, rel. 8
- 87.7 deg, d 1.113, rel. 7

Cell and atoms:
Lattice parameters (Å, degrees): 4.4518 4.4518 16.3678 90.00 90.00 120.00
Fractional positions:
Zn  0.3333  0.6667  0.1073
Zn  0.3333  0.6667  0.3944
Zn  0.6667  0.3333  0.6056
Zn  0.6667  0.3333  0.8927
Cd  0.3333  0.6667  0.7623
Cd  0.6667  0.3333  0.2377
Au  0.0000  0.0000  0.1486
Au  0.0000  0.0000  0.3235
Au  0.0000  0.0000  0.5000
Au  0.0000  0.0000  0.6765
Au  0.0000  0.0000  0.8514
Au  0.3333  0.6667  0.5809
Au  0.3333  0.6667  0.9466
Au  0.6667  0.3333  0.0534
Au  0.6667  0.3333  0.4191


# ZrCd3Au2
Calculated powder X-ray diffraction pattern, copper Kα. Input: a structure optimized by DFT (GGA-PBE).
No peak broadening, texture or thermal motion is included.

Largest 10 diffraction maxima, in order of falling intensity, 10 to 90 degrees two-theta:
- 36.0 deg, d 2.497, rel. 100
- 39.9 deg, d 2.262, rel. 19
- 42.5 deg, d 2.129, rel. 16
- 43.0 deg, d 2.105, rel. 15
- 73.5 deg, d 1.289, rel. 12
- 59.6 deg, d 1.550, rel. 11
- 69.8 deg, d 1.347, rel. 11
- 62.0 deg, d 1.497, rel. 10
- 74.1 deg, d 1.279, rel. 9
- 60.0 deg, d 1.543, rel. 6

Cell and atoms:
Lattice parameters (Å, degrees): 4.2570 4.5242 6.6625 90.11 108.57 90.00
Fractional positions:
Zr  0.0000  0.0000  0.0000
Cd  0.1686  0.5006  0.3380
Cd  0.5000  0.5000  0.0000
Cd  0.8314  0.4994  0.6620
Au  0.3374  0.9995  0.6741
Au  0.6626  0.0005  0.3259


# Ce3Au11
Calculated powder X-ray diffraction pattern, copper Kα. Input: a structure optimized by DFT (GGA-PBE).
No peak broadening, texture or thermal motion is included.

Largest 10 diffraction maxima, in order of falling intensity, 10 to 90 degrees two-theta:
- 38.4 deg, d 2.344, rel. 100
- 33.1 deg, d 2.703, rel. 96
- 36.2 deg, d 2.480, rel. 53
- 43.2 deg, d 2.095, rel. 39
- 42.4 deg, d 2.130, rel. 38
- 32.2 deg, d 2.780, rel. 32
- 39.9 deg, d 2.259, rel. 29
- 33.6 deg, d 2.665, rel. 27
- 42.8 deg, d 2.113, rel. 24
- 34.0 deg, d 2.633, rel. 23

Cell and atoms:
Lattice parameters (Å, degrees): 8.6626 8.6626 8.6626 148.62 111.74 77.04
Fractional positions:
Ce  0.0000  0.0000  0.0000
Ce  0.2993  0.2993  0.0000
Ce  0.7007  0.7007  0.0000
Au  0.0274  0.6660  0.3615
Au  0.1504  0.8699  0.2805
Au  0.3045  0.6660  0.6385
Au  0.3203  0.5000  0.8203
Au  0.4106  0.1301  0.2805
Au  0.5000  0.0000  0.5000
Au  0.5894  0.8699  0.7195
Au  0.6797  0.5000  0.1797
Au  0.6955  0.3340  0.3615
Au  0.8496  0.1301  0.7195
Au  0.9726  0.3340  0.6385


# Ce3Au2
Calculated powder X-ray diffraction pattern, copper Kα. Input: a structure optimized by DFT (GGA-PBE).
No peak broadening, texture or thermal motion is included.

Largest 10 diffraction maxima, in order of falling intensity, 10 to 90 degrees two-theta:
- 34.1 deg, d 2.630, rel. 100
- 38.6 deg, d 2.335, rel. 66
- 34.4 deg, d 2.607, rel. 56
- 21.7 deg, d 4.100, rel. 25
- 33.0 deg, d 2.714, rel. 24
- 37.7 deg, d 2.384, rel. 22
- 52.0 deg, d 1.759, rel. 20
- 67.3 deg, d 1.392, rel. 18
- 67.8 deg, d 1.382, rel. 18
- 31.0 deg, d 2.884, rel. 16

Cell and atoms:
Lattice parameters (Å, degrees): 5.8724 5.8724 8.0339 90.00 90.00 108.58
Fractional positions:
Ce  0.0904  0.9096  0.5000
Ce  0.3106  0.6894  0.0273
Ce  0.3573  0.6427  0.6809
Ce  0.6427  0.3573  0.1809
Ce  0.6894  0.3106  0.5273
Ce  0.9096  0.0904  0.0000
Au  0.1660  0.3964  0.3445
Au  0.3964  0.1660  0.8445
Au  0.6036  0.8340  0.3445
Au  0.8340  0.6036  0.8445


# Ce4Au3
Calculated powder X-ray diffraction pattern, copper Kα. Input: a structure optimized by DFT (GGA-PBE).
No peak broadening, texture or thermal motion is included.

Largest 10 diffraction maxima, in order of falling intensity, 10 to 90 degrees two-theta:
- 34.4 deg, d 2.604, rel. 100
- 34.0 deg, d 2.638, rel. 53
- 61.1 deg, d 1.517, rel. 39
- 48.8 deg, d 1.866, rel. 19
- 62.0 deg, d 1.497, rel. 17
- 72.6 deg, d 1.302, rel. 11
- 81.6 deg, d 1.180, rel. 9
- 81.9 deg, d 1.177, rel. 9
- 50.2 deg, d 1.818, rel. 8
- 84.0 deg, d 1.153, rel. 7

Cell and atoms:
Lattice parameters (Å, degrees): 3.7313 3.7313 12.9922 98.22 98.22 89.94
Fractional positions:
Ce  0.0707  0.0707  0.1410
Ce  0.2094  0.2094  0.4209
Ce  0.7906  0.7906  0.5791
Ce  0.9293  0.9293  0.8590
Au  0.3537  0.3537  0.7062
Au  0.5000  0.5000  0.0000
Au  0.6463  0.6463  0.2938


# Ce7Au3
Calculated powder X-ray diffraction pattern, copper Kα. Input: a structure optimized by DFT (GGA-PBE).
No peak broadening, texture or thermal motion is included.

Largest 10 diffraction maxima, in order of falling intensity, 10 to 90 degrees two-theta:
- 34.0 deg, d 2.635, rel. 100
- 35.0 deg, d 2.565, rel. 69
- 30.7 deg, d 2.917, rel. 63
- 35.8 deg, d 2.507, rel. 57
- 64.2 deg, d 1.452, rel. 30
- 69.1 deg, d 1.359, rel. 28
- 50.2 deg, d 1.816, rel. 27
- 29.9 deg, d 2.985, rel. 25
- 39.5 deg, d 2.284, rel. 24
- 30.9 deg, d 2.895, rel. 23

Cell and atoms:
Lattice parameters (Å, degrees): 10.0292 10.0292 6.3569 90.00 90.00 120.00
Fractional positions:
Ce  0.0760  0.5380  0.0000
Ce  0.1313  0.2626  0.2420
Ce  0.1313  0.8687  0.2420
Ce  0.2626  0.1313  0.7420
Ce  0.3333  0.6667  0.3922
Ce  0.4620  0.5380  0.0000
Ce  0.4620  0.9240  0.0000
Ce  0.5380  0.0760  0.5000
Ce  0.5380  0.4620  0.5000
Ce  0.6667  0.3333  0.8922
Ce  0.7374  0.8687  0.2420
Ce  0.8687  0.1313  0.7420
Ce  0.8687  0.7374  0.7420
Ce  0.9240  0.4620  0.5000
Au  0.1945  0.3890  0.6971
Au  0.1945  0.8055  0.6971
Au  0.3890  0.1945  0.1971
Au  0.6110  0.8055  0.6971
Au  0.8055  0.1945  0.1971
Au  0.8055  0.6110  0.1971


# Ce5Au
Calculated powder X-ray diffraction pattern, copper Kα. Input: a structure optimized by DFT (GGA-PBE).
No peak broadening, texture or thermal motion is included.

Largest 10 diffraction maxima, in order of falling intensity, 10 to 90 degrees two-theta:
- 32.7 deg, d 2.736, rel. 100
- 35.1 deg, d 2.556, rel. 85
- 34.3 deg, d 2.612, rel. 41
- 40.8 deg, d 2.213, rel. 28
- 42.7 deg, d 2.119, rel. 25
- 55.9 deg, d 1.646, rel. 20
- 60.5 deg, d 1.531, rel. 18
- 58.9 deg, d 1.567, rel. 15
- 63.5 deg, d 1.465, rel. 13
- 51.0 deg, d 1.791, rel. 13

Cell and atoms:
Lattice parameters (Å, degrees): 5.2566 4.2389 6.8995 90.00 105.77 90.00
Fractional positions:
Ce  0.0000  0.0000  0.0000
Ce  0.1149  0.5000  0.3244
Ce  0.3336  0.0000  0.6605
Ce  0.6664  0.0000  0.3395
Ce  0.8851  0.5000  0.6756
Au  0.5000  0.5000  0.0000


# CeAuCl6
Calculated powder X-ray diffraction pattern, copper Kα. Input: a structure optimized by DFT (GGA-PBE).
No peak broadening, texture or thermal motion is included.

Largest 10 diffraction maxima, in order of falling intensity, 10 to 90 degrees two-theta:
- 15.4 deg, d 5.745, rel. 100
- 19.0 deg, d 4.672, rel. 61
- 19.1 deg, d 4.642, rel. 61
- 23.8 deg, d 3.742, rel. 45
- 25.5 deg, d 3.493, rel. 33
- 41.8 deg, d 2.159, rel. 32
- 24.6 deg, d 3.613, rel. 24
- 24.5 deg, d 3.637, rel. 24
- 36.6 deg, d 2.455, rel. 20
- 32.0 deg, d 2.796, rel. 20

Cell and atoms:
Lattice parameters (Å, degrees): 6.2524 6.9993 7.1577 116.13 113.60 90.24
Fractional positions:
Ce  0.0000  0.0000  0.0000
Au  0.5000  0.5000  0.0000
Cl  0.0295  0.2044  0.4048
Cl  0.2792  0.7563  0.1643
Cl  0.4103  0.2842  0.1599
Cl  0.5897  0.7158  0.8401
Cl  0.7208  0.2437  0.8357
Cl  0.9705  0.7956  0.5952